Structure and theoretical X-ray powder pattern of NaLaS2 (a cell relaxed with GGA-PBE; Cu Kα).

Principal peaks in the range 2θ = 15–90°, low angle first:
2theta	I_rel	(hkl)
15.67	57	0 0 1
21.14	57	1 0 0
26.42	45	1 0 1
30.08	100	1 1 0
31.64	44	0 0 2
34.09	34	1 1 1
38.37	25	1 0 2
43.05	36	2 0 0
44.22	66	1 1 2
54.40	35	2 0 2

Lattice parameters (Å, degrees): 4.2020 4.2020 5.6556 90.00 90.00 90.00
Element x y z (fractional)
Na  0.0000  0.0000  0.0000
La  0.5000  0.5000  0.5000
S  0.0000  0.0000  0.5000
S  0.5000  0.5000  0.0000